Structure and simulated X-ray diffraction stick pattern of Dy2Al6Si4Pt (a cell relaxed with GGA-PBE; Cu Kα).
Intensities are scaled so that the largest is 100.

Largest 10 diffraction maxima, in order of rising 2θ, 2θ from 5° to 70°:
Position (°2θ)	Rel. int.	hkl
5.3	30	0 0 3
15.9	57	0 0 9
24.9	41	0 1 2
26.2	31	0 1 5
27.6	100	1 0 7
35.2	27	0 1 14
37.9	59	1 0 16
43.3	60	1 1 0
46.4	24	1 1 9
48.7	33	0 1 23

Atomic structure:
```
data_Dy2Al6Si4Pt
_chemical_formula_sum 'Dy6 Al18 Si12 Pt3'
_space_group_name_H-M_alt 'R -3 m'
_space_group_IT_number 166
_space_group_name_Hall '-R 3 2"'
_cell_length_a 4.1793
_cell_length_b 4.1793
_cell_length_c 50.3042
_cell_angle_alpha 90.00
_cell_angle_beta 90.00
_cell_angle_gamma 120.00
loop_
_atom_site_label
_atom_site_type_symbol
_atom_site_fract_x
_atom_site_fract_y
_atom_site_fract_z
Dy1 Dy 0.0000 0.0000 0.0657
Al1 Al 0.0000 0.0000 0.1823
Al2 Al 0.0000 0.0000 0.3146
Al3 Al 0.0000 0.0000 0.4491
Si1 Si 0.0000 0.0000 0.2343
Si2 Si 0.0000 0.0000 0.3647
Pt1 Pt 0.0000 0.0000 0.5000
```

---

Structure and simulated X-ray diffraction stick pattern of Cs3Li2Hg9 (a cell relaxed with GGA-PBE; Cu Kα).
Intensities are scaled so that the largest is 100.

Largest 10 diffraction maxima, in order of rising 2θ, 2θ from 5° to 70°:
Position (°2θ)	Rel. int.	hkl
13.9	34	0 2 0
25.1	47	1 0 3
27.2	100	1 3 0
28.0	79	0 2 4
35.0	57	2 0 0
35.1	33	1 0 5
37.1	34	0 3 5
37.9	40	1 2 5
45.4	43	2 2 4
50.0	34	1 6 3

Atomic structure:
```
data_Cs3Li2Hg9
_chemical_formula_sum 'Cs6 Li4 Hg18'
_space_group_name_H-M_alt 'I m m m'
_space_group_IT_number 71
_space_group_name_Hall '-I 2 2'
_cell_length_a 5.1274
_cell_length_b 12.7543
_cell_length_c 14.7315
_cell_angle_alpha 90.00
_cell_angle_beta 90.00
_cell_angle_gamma 90.00
loop_
_atom_site_label
_atom_site_type_symbol
_atom_site_fract_x
_atom_site_fract_y
_atom_site_fract_z
Cs1 Cs 0.0000 0.0000 0.0000
Cs2 Cs 0.0000 0.0000 0.2993
Li1 Li 0.0000 0.2195 0.5000
Hg1 Hg 0.0000 0.2869 0.1112
Hg2 Hg 0.0000 0.3280 0.3289
Hg3 Hg 0.0000 0.5000 0.0000
```